Calculated powder X-ray diffraction pattern
Compound: U2H5
Radiation: Cu Kα (weighted mean of Kα1 and Kα2)
Structure: a DFT-relaxed cell (PBE, Alexandria)
Peak positions follow from Bragg's law for the DFT cell and can differ from measured ones.

Main lines, by angle (2θ = 10–90°):
2θ 30.4, rel. 100; 2θ 31.9, rel. 22; 2θ 32.4, rel. 21; 2θ 46.1, rel. 17; 2θ 55.9, rel. 19; 2θ 56.5, rel. 18

Structure:
```
data_U2H5
_chemical_formula_sum 'U8 H20'
_symmetry_space_group_name_H-M 'I b a m'
_symmetry_Int_Tables_number 72
_symmetry_space_group_name_Hall '-I 2 2c'
_cell_length_a 5.609
_cell_length_b 11.068
_cell_length_c 4.413
_cell_angle_alpha 90.00
_cell_angle_beta 90.00
_cell_angle_gamma 90.00
loop_
_atom_site_label
_atom_site_fract_x
_atom_site_fract_y
_atom_site_fract_z
U1 0.241 0.123 0.000
H1 0.000 0.255 0.250
H2 0.000 0.500 0.250
H3 0.154 0.078 0.500
```